# 1
# Pr4Dy11Ho9
Calculated X-ray diffraction stick pattern, CuKα. Input: DFT lattice parameters and positions (GGA-PBE).

a b c (Å): 16.3060 26.4125 3.6034
angles (deg): 90.00 90.00 90.00
Space group Cmmm (No. 65)
One atom of each set of equivalent atoms:
Pr: 0.1710 0.0883 0.0000 x8
Dy: 0.0000 0.1242 0.5000 x4
Dy: 0.0000 0.3131 0.5000 x4
Dy: 0.0000 0.5000 0.5000 x2
Dy: 0.2108 0.5000 0.5000 x4
Dy: 0.2186 0.3139 0.5000 x8
Ho: 0.0000 0.0000 0.0000 x2
Ho: 0.1063 0.2197 0.0000 x8
Ho: 0.1090 0.4062 0.0000 x8

Peak list (10 most intense, 2θ from 15° to 90°, by intensity)
| 2θ (°) | intensity | hkl |
| --- | --- | --- |
| 32.26 | 100 | 5 5 0 |
| 30.53 | 87 | 1 5 1 |
| 33.18 | 87 | 4 0 1 |
| 32.10 | 79 | 0 6 1 |
| 29.88 | 74 | 4 6 0 |
| 53.80 | 62 | 5 11 1 |
| 33.94 | 53 | 0 10 0 |
| 59.75 | 52 | 9 5 1 |
| 37.35 | 36 | 5 1 1 |
| 61.35 | 32 | 5 5 2 |

# 2
# Pr6DyHo6
Calculated X-ray diffraction stick pattern, CuKα. Input: DFT lattice parameters and positions (GGA-PBE).

a b c (Å): 6.7543 6.7543 11.4638
angles (deg): 90.00 90.00 120.00
Space group P6/mmm (No. 191)
One atom of each set of equivalent atoms:
Pr: 0.0000 0.0000 0.1567 x2
Pr: 0.3333 0.6667 0.0000 x2
Pr: 0.3333 0.6667 0.5000 x2
Dy: 0.0000 0.0000 0.5000 x1
Ho: 0.0000 0.5000 0.2531 x6

Peak list (10 most intense, 2θ from 15° to 90°, by intensity)
| 2θ (°) | intensity | hkl |
| --- | --- | --- |
| 34.43 | 100 | 2 0 2 |
| 30.73 | 82 | 1 1 2 |
| 30.57 | 60 | 2 0 0 |
| 54.33 | 37 | 2 2 0 |
| 31.21 | 33 | 0 0 4 |
| 26.39 | 32 | 1 1 0 |
| 55.24 | 31 | 1 1 6 |
| 34.86 | 28 | 1 0 4 |
| 64.00 | 26 | 2 2 4 |
| 27.89 | 25 | 1 0 3 |

# 3
# Pr12DyHo7
Calculated X-ray diffraction stick pattern, CuKα. Input: DFT lattice parameters and positions (GGA-PBE).

a b c (Å): 19.7150 19.7150 6.2764
angles (deg): 90.00 90.00 120.00
Space group R-3m (No. 166, hexagonal axes)
One atom of each set of equivalent atoms:
Pr: 0.0000 0.4118 0.0000 x18
Pr: 0.0982 0.5491 0.4673 x18
Dy: 0.0000 0.0000 0.5000 x3
Ho: 0.0000 0.0000 0.0000 x3
Ho: 0.0814 0.1627 0.2950 x18

Peak list (10 most intense, 2θ from 15° to 90°, by intensity)
| 2θ (°) | intensity | hkl |
| --- | --- | --- |
| 29.79 | 100 | 0 5 1 |
| 32.76 | 46 | 5 2 0 |
| 32.50 | 46 | 5 1 1 |
| 27.14 | 44 | 3 3 0 |
| 30.35 | 43 | 2 0 2 |
| 38.98 | 40 | 5 0 2 |
| 34.28 | 28 | 3 1 2 |
| 47.19 | 27 | 0 7 2 |
| 46.04 | 26 | 5 5 0 |
| 39.64 | 25 | 7 0 1 |

# 4
# Pr3DyHo7
Calculated X-ray diffraction stick pattern, CuKα. Input: DFT lattice parameters and positions (GGA-PBE).

a b c (Å): 6.5224 6.6983 8.6236
angles (deg): 99.43 98.35 95.29
Space group P-1 (No. 2)
One atom of each set of equivalent atoms:
Pr: 0.0000 0.0000 0.0000 x1
Pr: 0.1971 0.5622 0.1645 x2
Dy: 0.5000 0.0000 0.5000 x1
Ho: 0.0128 0.7679 0.5798 x2
Ho: 0.2799 0.2748 0.7859 x2
Ho: 0.4382 0.7914 0.8545 x2
Ho: 0.5000 0.5000 0.5000 x1

Peak list (10 most intense, 2θ from 15° to 90°, by intensity)
| 2θ (°) | intensity | hkl |
| --- | --- | --- |
| 31.94 | 100 | -1 2 1 |
| 31.46 | 93 | 1 2 -1 |
| 32.27 | 49 | 2 0 -2 |
| 32.17 | 35 | 2 -1 1 |
| 32.94 | 34 | 1 1 2 |
| 32.47 | 32 | 0 1 -3 |
| 34.60 | 21 | 1 -2 2 |
| 32.77 | 17 | 1 0 -3 |
| 57.57 | 16 | -3 2 3 |
| 46.22 | 13 | 3 1 0 |

# 5
# Pr6Dy7Ho16
Calculated X-ray diffraction stick pattern, CuKα. Input: DFT lattice parameters and positions (GGA-PBE).

a b c (Å): 15.8043 15.8043 15.8043
angles (deg): 90.00 90.00 90.00
Space group Fm-3m (No. 225)
One atom of each set of equivalent atoms:
Pr: 0.0000 0.0000 0.2297 x24
Dy: 0.0000 0.0000 0.5000 x4
Dy: 0.0000 0.2500 0.2500 x24
Ho: 0.1274 0.1274 0.3726 x32
Ho: 0.1509 0.1509 0.1509 x32

Peak list (10 most intense, 2θ from 15° to 90°, by intensity)
| 2θ (°) | intensity | hkl |
| --- | --- | --- |
| 32.04 | 100 | 4 4 0 |
| 57.10 | 26 | 8 4 4 |
| 45.94 | 14 | 8 0 0 |
| 29.37 | 10 | 3 3 3 |
| 66.99 | 7 | 8 8 0 |
| 76.20 | 7 | 12 4 0 |
| 33.55 | 6 | 5 3 1 |
| 27.65 | 6 | 4 2 2 |
| 34.04 | 6 | 6 0 0 |
| 44.01 | 5 | 7 3 1 |

# 6
# Pr5DyHo
Calculated X-ray diffraction stick pattern, CuKα. Input: DFT lattice parameters and positions (GGA-PBE).

a b c (Å): 13.6008 8.9086 5.9580
angles (deg): 90.00 115.87 90.00
Space group C2/m (No. 12)
One atom of each set of equivalent atoms:
Pr: 0.0000 0.0000 0.0000 x2
Pr: 0.0000 0.3233 0.5000 x4
Pr: 0.2486 0.0000 0.7485 x4
Dy: 0.0000 0.5000 0.0000 x2
Ho: 0.0000 0.0000 0.5000 x2

Peak list (10 most intense, 2θ from 15° to 90°, by intensity)
| 2θ (°) | intensity | hkl |
| --- | --- | --- |
| 29.19 | 100 | 4 0 0 |
| 30.00 | 93 | 2 0 -2 |
| 19.93 | 80 | 0 2 0 |
| 42.35 | 73 | 2 0 2 |
| 33.72 | 71 | 1 3 -1 |
| 17.91 | 70 | 1 1 -1 |
| 45.19 | 63 | 3 3 1 |
| 26.02 | 48 | 2 2 -1 |
| 33.39 | 41 | 0 0 2 |
| 35.60 | 37 | 4 2 0 |

# 7
# PrDy5Ho2
Calculated X-ray diffraction stick pattern, CuKα. Input: DFT lattice parameters and positions (GGA-PBE).

a b c (Å): 7.1238 14.2511 5.0205
angles (deg): 90.00 90.00 90.00
Space group Pbam (No. 55)
One atom of each set of equivalent atoms:
Pr: 0.0000 0.0000 0.0000 x2
Dy: 0.0000 0.5000 0.0000 x2
Dy: 0.0009 0.2513 0.0000 x4
Dy: 0.2485 0.6261 0.5000 x4
Ho: 0.2496 0.3741 0.5000 x4

Peak list (10 most intense, 2θ from 15° to 90°, by intensity)
| 2θ (°) | intensity | hkl |
| --- | --- | --- |
| 30.78 | 100 | 2 0 1 |
| 35.64 | 34 | 2 4 0 |
| 61.02 | 29 | 4 4 1 |
| 51.39 | 24 | 2 4 2 |
| 35.77 | 17 | 0 0 2 |
| 61.19 | 14 | 2 0 3 |
| 64.11 | 12 | 4 0 2 |
| 51.29 | 12 | 4 0 0 |
| 83.84 | 12 | 4 4 3 |
| 86.41 | 11 | 6 4 0 |

# 8
# Pr5Dy6Ho
Calculated X-ray diffraction stick pattern, CuKα. Input: DFT lattice parameters and positions (GGA-PBE).

a b c (Å): 5.1289 10.1474 15.3663
angles (deg): 90.00 90.00 90.00
Space group Immm (No. 71)
One atom of each set of equivalent atoms:
Pr: 0.0000 0.0000 0.0000 x2
Pr: 0.0000 0.0000 0.3350 x4
Pr: 0.0000 0.5000 0.3332 x4
Dy: 0.0000 0.2480 0.5000 x4
Dy: 0.0000 0.2513 0.1660 x8
Ho: 0.0000 0.5000 0.0000 x2

Peak list (10 most intense, 2θ from 15° to 90°, by intensity)
| 2θ (°) | intensity | hkl |
| --- | --- | --- |
| 30.31 | 100 | 1 2 3 |
| 35.01 | 34 | 2 0 0 |
| 59.91 | 29 | 3 2 3 |
| 50.63 | 24 | 2 4 0 |
| 35.38 | 17 | 0 4 0 |
| 60.40 | 14 | 1 6 3 |
| 63.04 | 12 | 2 4 6 |
| 50.35 | 12 | 2 0 6 |
| 82.42 | 12 | 3 6 3 |
| 81.99 | 6 | 3 2 9 |

# 9
# Pr6DyHo
Calculated X-ray diffraction stick pattern, CuKα. Input: DFT lattice parameters and positions (GGA-PBE).

a b c (Å): 7.3956 10.3125 14.6864
angles (deg): 90.00 90.00 90.00
Space group Fmmm (No. 69)
One atom of each set of equivalent atoms:
Pr: 0.0000 0.0000 0.2501 x8
Pr: 0.2500 0.2500 0.1228 x16
Dy: 0.0000 0.0000 0.0000 x4
Ho: 0.0000 0.0000 0.5000 x4

Peak list (10 most intense, 2θ from 15° to 90°, by intensity)
| 2θ (°) | intensity | hkl |
| --- | --- | --- |
| 29.73 | 100 | 2 2 0 |
| 29.87 | 99 | 0 2 4 |
| 34.42 | 68 | 2 0 4 |
| 49.74 | 60 | 2 4 4 |
| 34.80 | 33 | 0 4 0 |
| 58.71 | 29 | 4 2 4 |
| 58.96 | 29 | 2 2 8 |
| 59.33 | 28 | 2 6 0 |
| 80.69 | 17 | 4 6 4 |
| 83.09 | 16 | 4 4 8 |

# 10
# Pr6Dy3Ho
Calculated X-ray diffraction stick pattern, CuKα. Input: DFT lattice parameters and positions (GGA-PBE).

a b c (Å): 10.9945 19.4654 6.4514
angles (deg): 90.00 90.00 90.00
Space group Cmc2_1 (No. 36)
One atom of each set of equivalent atoms:
Pr: 0.0000 0.0342 0.0000 x4
Pr: 0.0000 0.2811 0.7765 x4
Pr: 0.1707 0.4581 0.6688 x8
Pr: 0.2285 0.2895 0.4779 x8
Dy: 0.0000 0.3854 0.2030 x4
Dy: 0.1694 0.1154 0.5876 x8
Ho: 0.0000 0.1930 0.2289 x4

Peak list (10 most intense, 2θ from 15° to 90°, by intensity)
| 2θ (°) | intensity | hkl |
| --- | --- | --- |
| 30.85 | 100 | 0 6 1 |
| 33.53 | 86 | 3 5 0 |
| 31.27 | 52 | 3 3 1 |
| 28.13 | 51 | 2 4 1 |
| 28.38 | 49 | 3 1 1 |
| 27.97 | 34 | 3 3 0 |
| 29.20 | 28 | 0 2 2 |
| 59.70 | 22 | 6 6 1 |
| 57.84 | 21 | 6 0 2 |
| 32.17 | 21 | 2 0 2 |

# 11
# PrDy4Ho4
Calculated X-ray diffraction stick pattern, CuKα. Input: DFT lattice parameters and positions (GGA-PBE).

a b c (Å): 10.6668 10.6668 5.0133
angles (deg): 90.00 90.00 90.00
Space group I4/mmm (No. 139)
One atom of each set of equivalent atoms:
Pr: 0.0000 0.0000 0.0000 x2
Dy: 0.0000 0.3341 0.0000 x8
Ho: 0.1677 0.1677 0.5000 x8

Peak list (10 most intense, 2θ from 15° to 90°, by intensity)
| 2θ (°) | intensity | hkl |
| --- | --- | --- |
| 30.83 | 100 | 3 0 1 |
| 51.45 | 36 | 6 0 0 |
| 35.71 | 34 | 3 3 0 |
| 61.14 | 29 | 6 3 1 |
| 35.82 | 17 | 0 0 2 |
| 61.29 | 14 | 3 0 3 |
| 64.23 | 12 | 6 0 2 |
| 84.02 | 12 | 6 3 3 |
| 86.60 | 11 | 9 3 0 |
| 83.89 | 6 | 9 0 1 |

# 12
# PrDy2Ho9
Calculated X-ray diffraction stick pattern, CuKα. Input: DFT lattice parameters and positions (GGA-PBE).

a b c (Å): 11.1966 11.1966 3.5071
angles (deg): 90.00 90.00 120.00
Space group P6/mmm (No. 191)
One atom of each set of equivalent atoms:
Pr: 0.0000 0.0000 0.0000 x1
Dy: 0.3333 0.6667 0.0000 x2
Ho: 0.0000 0.5000 0.0000 x3
Ho: 0.1784 0.3567 0.5000 x6

Peak list (10 most intense, 2θ from 15° to 90°, by intensity)
| 2θ (°) | intensity | hkl |
| --- | --- | --- |
| 31.97 | 100 | 2 2 0 |
| 31.48 | 54 | 2 0 1 |
| 62.50 | 30 | 2 2 2 |
| 30.07 | 25 | 1 1 1 |
| 35.43 | 22 | 2 1 1 |
| 56.67 | 18 | 4 2 1 |
| 45.49 | 18 | 4 0 1 |
| 56.98 | 17 | 6 0 0 |
| 37.85 | 15 | 3 0 1 |
| 80.89 | 13 | 6 0 2 |